Record 1
Diffraction record for SmMgSc2Cu4. The powder diffractogram is computed, not measured: it uses a cell relaxed with GGA-PBE and a wavelength of 1.5418 Å.
Intensities are scaled so that the largest is 100.

Peak list (10 most intense, 10° ≤ 2θ ≤ 90°, by angle)
- 2θ 22.6, rel. 20
- 2θ 23.5, rel. 17
- 2θ 29.1, rel. 24
- 2θ 34.4, rel. 14
- 2θ 37.4, rel. 92
- 2θ 39.2, rel. 100
- 2θ 43.9, rel. 14
- 2θ 55.3, rel. 28
- 2θ 69.8, rel. 27
- 2θ 71.0, rel. 16

Atomic structure:
```
SmMgSc2Cu4
1.0
2.301 1.328 8.027
-2.301 1.328 8.027
0.000 -2.657 8.027
Sm Mg Sc Cu
1 1 2 4
Cartesian
0.000 0.000 0.000
0.000 0.000 12.040
0.000 0.000 5.805
0.000 0.000 18.275
0.000 0.000 2.964
0.000 0.000 9.430
0.000 0.000 14.650
0.000 0.000 21.116
```


Record 2
Diffraction record for MgCu2Se2. The powder diffractogram is computed, not measured: it uses a cell relaxed with GGA-PBE and a wavelength of 1.5418 Å.
Intensities are scaled so that the largest is 100.

Peak list (10 most intense, 10° ≤ 2θ ≤ 90°, by angle)
- 2θ 25.6, rel. 88
- 2θ 26.0, rel. 63
- 2θ 27.1, rel. 35
- 2θ 29.0, rel. 41
- 2θ 29.9, rel. 62
- 2θ 43.9, rel. 61
- 2θ 44.7, rel. 100
- 2θ 45.3, rel. 58
- 2θ 48.9, rel. 41
- 2θ 49.1, rel. 84

Atomic structure:
```
MgCu2Se2
1.0
6.586 0.000 0.000
0.000 7.056 0.000
0.000 0.000 4.003
Mg Cu Se
2 4 4
Cartesian
0.000 0.000 0.987
3.293 3.528 3.017
0.794 4.498 0.990
2.499 0.970 3.014
4.087 6.087 3.014
5.792 2.558 0.990
1.547 5.760 2.996
1.745 2.231 1.008
4.840 4.825 1.008
5.038 1.297 2.996
```


Record 3
Diffraction record for MgCuSe. The powder diffractogram is computed, not measured: it uses a cell relaxed with GGA-PBE and a wavelength of 1.5418 Å.
Intensities are scaled so that the largest is 100.

Peak list (10 most intense, 10° ≤ 2θ ≤ 90°, by angle)
- 2θ 14.1, rel. 27
- 2θ 14.3, rel. 26
- 2θ 24.4, rel. 26
- 2θ 24.8, rel. 74
- 2θ 25.3, rel. 100
- 2θ 28.4, rel. 30
- 2θ 42.3, rel. 46
- 2θ 43.4, rel. 53
- 2θ 44.0, rel. 89
- 2θ 48.3, rel. 34

Atomic structure:
```
MgCuSe
1.0
4.276 0.000 0.000
0.000 6.194 3.652
0.000 -6.194 3.652
Mg Cu Se
3 3 3
Cartesian
0.000 0.000 0.000
0.000 -1.587 3.161
0.000 1.587 3.161
2.138 0.000 1.411
2.138 -1.282 6.468
2.138 1.282 6.468
0.000 -2.302 5.742
0.000 2.302 5.742
2.138 0.000 3.790
```


Record 4
Diffraction record for Mg8CuSe4. The powder diffractogram is computed, not measured: it uses a cell relaxed with GGA-PBE and a wavelength of 1.5418 Å.
Intensities are scaled so that the largest is 100.

Peak list (10 most intense, 10° ≤ 2θ ≤ 90°, by angle)
- 2θ 19.1, rel. 34
- 2θ 27.1, rel. 39
- 2θ 27.5, rel. 100
- 2θ 28.8, rel. 27
- 2θ 33.7, rel. 22
- 2θ 38.7, rel. 20
- 2θ 41.4, rel. 15
- 2θ 43.5, rel. 20
- 2θ 43.7, rel. 66
- 2θ 46.6, rel. 16

Atomic structure:
```
Mg8CuSe4
1.0
-6.578 6.578 1.948
6.578 -6.578 1.948
6.578 6.578 -1.948
Mg Cu Se
8 1 4
Cartesian
5.067 0.823 0.000
8.953 4.160 0.000
4.160 4.204 0.000
5.756 -1.511 1.948
0.823 8.090 0.000
2.418 2.375 1.948
-2.375 2.418 1.948
1.511 5.756 1.948
0.000 0.000 0.000
6.543 3.079 0.000
3.500 -0.035 1.948
3.079 6.613 0.000
0.035 3.500 1.948
```


Record 5
Diffraction record for MgCu2Se2. The powder diffractogram is computed, not measured: it uses a cell relaxed with GGA-PBE and a wavelength of 1.5418 Å.
Intensities are scaled so that the largest is 100.

Peak list (10 most intense, 10° ≤ 2θ ≤ 90°, by angle)
- 2θ 13.2, rel. 34
- 2θ 26.2, rel. 55
- 2θ 27.3, rel. 88
- 2θ 40.8, rel. 51
- 2θ 44.5, rel. 93
- 2θ 45.5, rel. 100
- 2θ 52.6, rel. 25
- 2θ 65.6, rel. 28
- 2θ 83.5, rel. 28
- 2θ 87.5, rel. 16

Atomic structure:
```
MgCu2Se2
1.0
1.992 1.150 13.449
-1.992 1.150 13.449
0.000 -2.300 13.449
Mg Cu Se
2 4 4
Cartesian
0.000 0.000 10.087
0.000 0.000 30.260
0.000 0.000 7.375
0.000 0.000 12.798
0.000 0.000 27.549
0.000 0.000 32.971
0.000 0.000 4.924
0.000 0.000 15.249
0.000 0.000 25.097
0.000 0.000 35.423
```


Record 6
Diffraction record for Mg2CuSe4. The powder diffractogram is computed, not measured: it uses a cell relaxed with GGA-PBE and a wavelength of 1.5418 Å.
Intensities are scaled so that the largest is 100.

Peak list (10 most intense, 10° ≤ 2θ ≤ 90°, by angle)
- 2θ 17.8, rel. 25
- 2θ 23.5, rel. 82
- 2θ 32.6, rel. 100
- 2θ 36.1, rel. 50
- 2θ 38.6, rel. 39
- 2θ 45.7, rel. 22
- 2θ 47.4, rel. 34
- 2θ 49.9, rel. 32
- 2θ 59.0, rel. 39
- 2θ 69.5, rel. 24

Atomic structure:
```
Mg2CuSe4
1.0
-3.299 3.299 3.789
3.299 -3.299 3.789
3.299 3.299 -3.789
Mg Cu Se
2 1 4
Cartesian
3.299 0.000 1.895
0.000 3.299 1.895
0.000 0.000 0.000
2.010 1.307 0.000
1.993 -1.290 3.789
1.307 4.589 0.000
1.290 1.993 3.789
```


Record 7
Diffraction record for Mg2CuSe. The powder diffractogram is computed, not measured: it uses a cell relaxed with GGA-PBE and a wavelength of 1.5418 Å.
Intensities are scaled so that the largest is 100.

Peak list (10 most intense, 10° ≤ 2θ ≤ 90°, by angle)
- 2θ 13.6, rel. 87
- 2θ 27.0, rel. 14
- 2θ 32.4, rel. 100
- 2θ 42.1, rel. 29
- 2θ 45.9, rel. 23
- 2θ 46.9, rel. 40
- 2θ 49.1, rel. 20
- 2θ 58.1, rel. 18
- 2θ 58.7, rel. 14
- 2θ 77.8, rel. 14

Atomic structure:
```
Mg2CuSe
1.0
1.937 1.118 6.525
-1.937 1.118 6.525
0.000 -2.237 6.525
Mg Cu Se
2 1 1
Cartesian
0.000 0.000 0.000
0.000 0.000 4.217
0.000 0.000 9.215
0.000 0.000 14.661
```


Record 8
Diffraction record for MgCu2Se2. The powder diffractogram is computed, not measured: it uses a cell relaxed with GGA-PBE and a wavelength of 1.5418 Å.
Intensities are scaled so that the largest is 100.

Peak list (10 most intense, 10° ≤ 2θ ≤ 90°, by angle)
- 2θ 13.3, rel. 61
- 2θ 26.0, rel. 24
- 2θ 29.2, rel. 100
- 2θ 34.5, rel. 37
- 2θ 37.1, rel. 32
- 2θ 37.7, rel. 94
- 2θ 45.5, rel. 50
- 2θ 45.8, rel. 36
- 2θ 48.8, rel. 52
- 2θ 49.0, rel. 33

Atomic structure:
```
MgCu2Se2
1.0
6.645 0.000 0.000
0.000 3.984 0.000
-0.047 0.000 6.854
Mg Cu Se
2 4 4
Cartesian
-0.005 0.996 1.777
6.602 2.988 5.077
2.692 0.996 4.062
2.927 2.988 6.056
3.670 0.996 0.798
3.906 2.988 2.792
1.488 2.988 2.895
1.498 0.996 6.342
5.100 2.988 0.512
5.109 0.996 3.959
```